[1]
Diffraction record for Li2Fe2P2O9. The PXRD pattern is computed, not measured: it uses DFT lattice parameters and positions (PBE+U) and a wavelength of 1.5418 Å.
No peak broadening, texture or thermal motion is included.

Most intense lines, 10° ≤ 2θ ≤ 90°, in order of rising 2θ:
| 2theta | d/Å | Rel. int. |
| --- | --- | --- |
| 12.03 | 7.359 | 100 |
| 12.25 | 7.223 | 13 |
| 16.11 | 5.503 | 28 |
| 21.04 | 4.222 | 13 |
| 23.94 | 3.717 | 33 |
| 32.34 | 2.768 | 14 |
| 32.98 | 2.716 | 21 |
| 33.83 | 2.650 | 16 |
| 38.16 | 2.358 | 27 |
| 64.58 | 1.443 | 14 |

Structural model:
Cell lengths 8.2892, 5.6952, 14.7189 Å; angles 90.00, 90.00, 90.00 degrees
Fractional coordinates of all 60 atoms:
Li  0.0182  0.2500  0.2321
Li  0.0679  0.2500  0.6199
Li  0.4321  0.7500  0.1199
Li  0.4818  0.7500  0.7321
Li  0.5182  0.2500  0.2679
Li  0.5679  0.2500  0.8801
Li  0.9321  0.7500  0.3801
Li  0.9818  0.7500  0.7679
Fe  0.0000  0.0000  0.0000
Fe  0.0000  0.5000  0.0000
Fe  0.2038  0.2500  0.4244
Fe  0.2962  0.7500  0.9244
Fe  0.5000  0.0000  0.5000
Fe  0.5000  0.5000  0.5000
Fe  0.7038  0.2500  0.0756
Fe  0.7962  0.7500  0.5756
P  0.1715  0.7500  0.5735
P  0.2060  0.2500  0.8312
P  0.2940  0.7500  0.3312
P  0.3285  0.2500  0.0735
P  0.6715  0.7500  0.9265
P  0.7060  0.2500  0.6688
P  0.7940  0.7500  0.1688
P  0.8285  0.2500  0.4265
O  0.0082  0.7500  0.5204
O  0.0605  0.7500  0.9153
O  0.0685  0.2500  0.9082
O  0.1223  0.2500  0.7416
O  0.1497  0.7500  0.6756
O  0.1824  0.5298  0.3469
O  0.1824  0.9702  0.3469
O  0.2374  0.0181  0.0426
O  0.2374  0.4819  0.0426
O  0.2626  0.5181  0.5426
O  0.2626  0.9819  0.5426
O  0.3176  0.0298  0.8469
O  0.3176  0.4702  0.8469
O  0.3503  0.2500  0.1756
O  0.3777  0.7500  0.2416
O  0.4315  0.7500  0.4082
O  0.4395  0.2500  0.4153
O  0.4918  0.2500  0.0204
O  0.5082  0.7500  0.9796
O  0.5605  0.7500  0.5847
O  0.5685  0.2500  0.5918
O  0.6223  0.2500  0.7584
O  0.6497  0.7500  0.8244
O  0.6824  0.5298  0.1531
O  0.6824  0.9702  0.1531
O  0.7374  0.0181  0.4574
O  0.7374  0.4819  0.4574
O  0.7626  0.5181  0.9574
O  0.7626  0.9819  0.9574
O  0.8176  0.0298  0.6531
O  0.8176  0.4702  0.6531
O  0.8503  0.2500  0.3244
O  0.8777  0.7500  0.2584
O  0.9315  0.7500  0.0918
O  0.9395  0.2500  0.0847
O  0.9918  0.2500  0.4796

***

[2]
Diffraction record for MoH2O4. The PXRD pattern is computed, not measured: it uses DFT lattice parameters and positions (PBE+U) and a wavelength of 1.5418 Å.
No peak broadening, texture or thermal motion is included.

Most intense lines, 10° ≤ 2θ ≤ 90°, in order of rising 2θ:
| 2theta | d/Å | Rel. int. |
| --- | --- | --- |
| 12.93 | 6.848 | 22 |
| 14.78 | 5.992 | 36 |
| 15.25 | 5.809 | 100 |
| 26.02 | 3.424 | 23 |
| 26.38 | 3.379 | 66 |
| 27.29 | 3.268 | 16 |
| 29.17 | 3.062 | 19 |
| 30.27 | 2.953 | 14 |
| 39.48 | 2.283 | 15 |
| 42.27 | 2.138 | 14 |

Structural model:
Cell lengths 3.7727, 6.7490, 7.6446 Å; angles 64.44, 77.91, 75.72 degrees
Fractional coordinates of all 14 atoms:
Mo  0.0000  0.0000  0.0000
Mo  0.4708  0.6771  0.4070
H  0.0049  0.5281  0.0833
H  0.2348  0.0589  0.5289
H  0.2382  0.6195  0.8771
H  0.4927  0.1416  0.3297
O  0.0752  0.0980  0.7473
O  0.1514  0.6438  0.9990
O  0.3268  0.0346  0.4072
O  0.3929  0.5805  0.6596
O  0.5051  0.9106  0.0768
O  0.6095  0.4349  0.3668
O  0.8634  0.2407  0.0427
O  0.9653  0.7662  0.3307

***

[3]
Diffraction record for NaSrSnWO6. The PXRD pattern is computed, not measured: it uses DFT lattice parameters and positions (PBE+U) and a wavelength of 1.5418 Å.
No peak broadening, texture or thermal motion is included.

Most intense lines, 10° ≤ 2θ ≤ 90°, in order of rising 2θ:
| 2theta | d/Å | Rel. int. |
| --- | --- | --- |
| 18.98 | 4.675 | 12 |
| 21.96 | 4.048 | 42 |
| 31.25 | 2.863 | 100 |
| 44.77 | 2.024 | 33 |
| 50.40 | 1.810 | 18 |
| 55.61 | 1.653 | 41 |
| 65.18 | 1.431 | 20 |
| 69.68 | 1.349 | 9 |
| 74.05 | 1.280 | 18 |
| 82.55 | 1.169 | 7 |

Structural model:
Cell lengths 5.7252, 5.7252, 5.7252 Å; angles 60.00, 60.00, 60.00 degrees
Fractional coordinates of all 10 atoms:
Na  0.0000  0.0000  0.0000
Sr  0.5000  0.5000  0.5000
Sn  0.7500  0.7500  0.7500
W  0.2500  0.2500  0.2500
O  0.0036  0.0036  0.4964
O  0.0036  0.4964  0.0036
O  0.0036  0.4964  0.4964
O  0.4964  0.0036  0.0036
O  0.4964  0.0036  0.4964
O  0.4964  0.4964  0.0036

***

[4]
Diffraction record for SrCa7Ti2Mn6O23. The PXRD pattern is computed, not measured: it uses DFT lattice parameters and positions (PBE+U) and a wavelength of 1.5418 Å.
No peak broadening, texture or thermal motion is included.

Most intense lines, 10° ≤ 2θ ≤ 90°, in order of rising 2θ:
| 2theta | d/Å | Rel. int. |
| --- | --- | --- |
| 23.17 | 3.839 | 8 |
| 32.91 | 2.721 | 100 |
| 32.99 | 2.715 | 45 |
| 40.63 | 2.220 | 10 |
| 47.11 | 1.929 | 23 |
| 47.35 | 1.920 | 46 |
| 58.71 | 1.572 | 17 |
| 58.87 | 1.569 | 33 |
| 68.99 | 1.361 | 17 |
| 69.21 | 1.357 | 12 |

Structural model:
Cell lengths 7.6753, 7.6824, 7.7160 Å; angles 90.00, 89.91, 90.00 degrees
Fractional coordinates of all 39 atoms:
Sr  0.0000  0.0000  0.0000
Ca  0.0064  0.5104  0.0008
Ca  0.0148  0.5155  0.4892
Ca  0.0154  0.9916  0.4909
Ca  0.4721  0.5172  0.4890
Ca  0.4750  0.9924  0.4895
Ca  0.4823  0.5095  0.0014
Ca  0.4838  0.9976  0.0007
Ti  0.7417  0.2560  0.7342
Ti  0.7417  0.7515  0.7560
Mn  0.2445  0.2558  0.2463
Mn  0.2439  0.7545  0.7491
Mn  0.2441  0.7547  0.2478
Mn  0.2445  0.2562  0.7545
Mn  0.7424  0.2564  0.2524
Mn  0.7426  0.7537  0.2480
O  0.2409  0.2601  0.0007
O  0.2439  0.5059  0.7438
O  0.2452  0.5059  0.2582
O  0.2450  0.7536  0.4995
O  0.2463  0.0050  0.2611
O  0.2474  0.2580  0.4998
O  0.2469  0.7523  0.9998
O  0.2481  0.0052  0.7404
O  0.4916  0.7537  0.7464
O  0.4933  0.7535  0.2577
O  0.4949  0.2574  0.7778
O  0.4960  0.2563  0.2188
O  0.7383  0.2610  0.5067
O  0.7389  0.0073  0.2337
O  0.7392  0.0125  0.7842
O  0.7421  0.5034  0.2200
O  0.7417  0.7503  0.5012
O  0.7421  0.7598  0.0055
O  0.7434  0.4988  0.7945
O  0.9914  0.2583  0.7698
O  0.9911  0.2604  0.2315
O  0.9935  0.7523  0.2609
O  0.9955  0.7545  0.7441

***

[5]
Diffraction record for Fe2Pb3WO9. The PXRD pattern is computed, not measured: it uses DFT lattice parameters and positions (PBE+U) and a wavelength of 1.5418 Å.
No peak broadening, texture or thermal motion is included.

Most intense lines, 10° ≤ 2θ ≤ 90°, in order of rising 2θ:
| 2theta | d/Å | Rel. int. |
| --- | --- | --- |
| 22.09 | 4.025 | 16 |
| 31.43 | 2.846 | 100 |
| 38.76 | 2.323 | 11 |
| 45.05 | 2.012 | 27 |
| 55.87 | 1.646 | 6 |
| 55.99 | 1.642 | 31 |
| 62.42 | 1.488 | 6 |
| 65.54 | 1.424 | 5 |
| 65.67 | 1.422 | 9 |
| 74.57 | 1.273 | 14 |

Structural model:
Cell lengths 5.6868, 5.6868, 6.9836 Å; angles 90.00, 90.00, 120.00 degrees
Fractional coordinates of all 15 atoms:
Fe  0.3333  0.6667  0.1667
Fe  0.6667  0.3333  0.8333
Pb  0.0000  0.0000  0.0000
Pb  0.3333  0.6667  0.7100
Pb  0.6667  0.3333  0.2900
W  0.0000  0.0000  0.5000
O  0.0000  0.5000  0.0000
O  0.1612  0.3224  0.3367
O  0.1612  0.8388  0.3367
O  0.3224  0.1612  0.6633
O  0.5000  0.0000  0.0000
O  0.5000  0.5000  0.0000
O  0.6776  0.8388  0.3367
O  0.8388  0.1612  0.6633
O  0.8388  0.6776  0.6633

***

[6]
Diffraction record for Li4Fe2Ni3Sb3O16. The PXRD pattern is computed, not measured: it uses DFT lattice parameters and positions (PBE+U) and a wavelength of 1.5418 Å.
No peak broadening, texture or thermal motion is included.

Most intense lines, 10° ≤ 2θ ≤ 90°, in order of rising 2θ:
| 2theta | d/Å | Rel. int. |
| --- | --- | --- |
| 18.33 | 4.840 | 100 |
| 18.95 | 4.684 | 32 |
| 19.11 | 4.644 | 37 |
| 19.33 | 4.591 | 31 |
| 34.98 | 2.565 | 29 |
| 35.25 | 2.546 | 43 |
| 35.51 | 2.528 | 50 |
| 44.17 | 2.050 | 27 |
| 44.76 | 2.025 | 21 |
| 60.90 | 1.521 | 28 |

Structural model:
Cell lengths 6.0865, 6.0865, 9.6829 Å; angles 91.28, 91.28, 59.72 degrees
Fractional coordinates of all 28 atoms:
Li  0.0000  0.0000  0.0000
Li  0.0067  0.0067  0.5181
Li  0.3229  0.3229  0.6227
Li  0.6614  0.6614  0.1053
Fe  0.3113  0.3113  0.9949
Fe  0.6365  0.6365  0.5304
Ni  0.1594  0.1594  0.2898
Ni  0.3285  0.8180  0.7921
Ni  0.8180  0.3285  0.7921
Sb  0.1574  0.6526  0.2893
Sb  0.6526  0.1574  0.2893
Sb  0.8184  0.8184  0.7893
O  0.0264  0.4790  0.1671
O  0.1408  0.6594  0.9101
O  0.1519  0.1519  0.9003
O  0.3113  0.8170  0.4069
O  0.3273  0.3273  0.4044
O  0.4778  0.4778  0.1709
O  0.4790  0.0264  0.1671
O  0.5079  0.5079  0.6729
O  0.5132  0.9544  0.6603
O  0.6554  0.6554  0.8957
O  0.6594  0.1408  0.9101
O  0.8170  0.3113  0.4069
O  0.8342  0.8342  0.4035
O  0.9544  0.5132  0.6603
O  0.9877  0.9877  0.1874
O  0.9899  0.9899  0.7025

***

[7]
Diffraction record for Na2NiCSO7. The PXRD pattern is computed, not measured: it uses DFT lattice parameters and positions (PBE+U) and a wavelength of 1.5418 Å.
No peak broadening, texture or thermal motion is included.

Most intense lines, 10° ≤ 2θ ≤ 90°, in order of rising 2θ:
| 2theta | d/Å | Rel. int. |
| --- | --- | --- |
| 16.52 | 5.365 | 94 |
| 21.52 | 4.130 | 32 |
| 23.96 | 3.714 | 33 |
| 25.60 | 3.479 | 100 |
| 26.54 | 3.359 | 43 |
| 26.68 | 3.341 | 76 |
| 33.12 | 2.705 | 51 |
| 33.45 | 2.679 | 79 |
| 34.14 | 2.627 | 58 |
| 37.55 | 2.395 | 34 |

Structural model:
Cell lengths 5.2566, 6.6823, 9.0048 Å; angles 90.00, 92.04, 90.00 degrees
Fractional coordinates of all 24 atoms:
Na  0.2307  0.0024  0.2860
Na  0.2307  0.4976  0.2860
Na  0.7693  0.5024  0.7140
Na  0.7693  0.9976  0.7140
Ni  0.2225  0.7500  0.8545
Ni  0.7775  0.2500  0.1455
C  0.2777  0.7500  0.5845
C  0.7223  0.2500  0.4155
S  0.2762  0.2500  0.9236
S  0.7238  0.7500  0.0764
O  0.0528  0.7500  0.6434
O  0.1575  0.2500  0.0721
O  0.1949  0.0700  0.8376
O  0.1949  0.4300  0.8376
O  0.3100  0.7500  0.4462
O  0.4383  0.7500  0.0541
O  0.4687  0.7500  0.6840
O  0.5313  0.2500  0.3160
O  0.5617  0.2500  0.9459
O  0.6900  0.2500  0.5538
O  0.8051  0.5700  0.1624
O  0.8051  0.9300  0.1624
O  0.8425  0.7500  0.9279
O  0.9472  0.2500  0.3566

***

[8]
Diffraction record for Fe3H4S4O18. The PXRD pattern is computed, not measured: it uses DFT lattice parameters and positions (PBE+U) and a wavelength of 1.5418 Å.
No peak broadening, texture or thermal motion is included.

Most intense lines, 10° ≤ 2θ ≤ 90°, in order of rising 2θ:
| 2theta | d/Å | Rel. int. |
| --- | --- | --- |
| 20.51 | 4.331 | 30 |
| 21.06 | 4.218 | 85 |
| 21.38 | 4.156 | 57 |
| 23.88 | 3.726 | 72 |
| 26.63 | 3.348 | 77 |
| 27.10 | 3.290 | 56 |
| 29.15 | 3.064 | 100 |
| 30.38 | 2.943 | 78 |
| 34.59 | 2.593 | 26 |
| 42.85 | 2.110 | 20 |

Structural model:
Cell lengths 5.1920, 14.5588, 9.7738 Å; angles 90.00, 119.20, 90.00 degrees
Fractional coordinates of all 58 atoms:
Fe  0.0000  0.0000  0.0000
Fe  0.0000  0.5000  0.5000
Fe  0.2775  0.1530  0.5261
Fe  0.2775  0.3470  0.0261
Fe  0.7225  0.6530  0.9739
Fe  0.7225  0.8470  0.4739
H  0.1286  0.6730  0.4532
H  0.1286  0.8270  0.9532
H  0.3584  0.6081  0.4377
H  0.3584  0.8919  0.9377
H  0.6416  0.1081  0.0623
H  0.6416  0.3919  0.5623
H  0.8714  0.1730  0.0468
H  0.8714  0.3270  0.5468
S  0.0121  0.6708  0.7302
S  0.0121  0.8292  0.2302
S  0.4040  0.5672  0.1779
S  0.4040  0.9328  0.6779
S  0.5960  0.0672  0.3221
S  0.5960  0.4328  0.8221
S  0.9879  0.1708  0.7698
S  0.9879  0.3292  0.2698
O  0.0184  0.0719  0.8016
O  0.0184  0.4281  0.3016
O  0.1000  0.1972  0.6599
O  0.1000  0.3028  0.1599
O  0.1134  0.6051  0.1435
O  0.1134  0.8949  0.6435
O  0.1586  0.2216  0.9208
O  0.1586  0.2784  0.4208
O  0.2317  0.6140  0.4861
O  0.2317  0.8860  0.9861
O  0.3276  0.7017  0.8040
O  0.3276  0.7983  0.3040
O  0.3701  0.0253  0.6079
O  0.3701  0.4747  0.1079
O  0.4161  0.0626  0.1492
O  0.4161  0.4374  0.6492
O  0.4538  0.1298  0.3852
O  0.4538  0.3702  0.8852
O  0.5462  0.6298  0.1148
O  0.5462  0.8702  0.6148
O  0.5839  0.5626  0.3508
O  0.5839  0.9374  0.8508
O  0.6299  0.5253  0.8921
O  0.6299  0.9747  0.3921
O  0.6724  0.2017  0.6960
O  0.6724  0.2983  0.1960
O  0.7683  0.1140  0.0139
O  0.7683  0.3860  0.5139
O  0.8414  0.7216  0.5792
O  0.8414  0.7784  0.0792
O  0.8866  0.1051  0.3565
O  0.8866  0.3949  0.8565
O  0.9000  0.6972  0.8401
O  0.9000  0.8028  0.3401
O  0.9816  0.5719  0.6984
O  0.9816  0.9281  0.1984

***

- Number 3 is which compound?
  NaSrSnWO6